Structure and computed XRD peak list of AlAg2BiS4 (the PBE geometry in Alexandria; λ = 1.5418 Å (Cu Kα)).

The 8 most intense peaks (10° ≤ 2θ ≤ 90°), sorted by position:
h k l, Position (°2θ), I_rel
1 1 0, 16.31, 296
1 0 1, 16.96, 298
2 1 0, 24.10, 371
0 2 0, 25.64, 362
0 0 2, 27.30, 523
2 1 1, 27.75, 1000
2 3 0, 44.28, 344
2 1 3, 48.52, 394

Structure:
```
AlAg2BiS4
1.0
8.7190 0.0000 0.0000
0.0000 6.9491 0.0000
0.0000 0.0000 6.5347
Al Ag Bi S
2 4 2 8
direct
0.0000 0.1747 0.0000 Al
0.5000 0.8253 0.5000 Al
0.2472 0.6891 0.0085 Ag
0.2528 0.3109 0.5085 Ag
0.7472 0.3109 0.5085 Ag
0.7528 0.6891 0.0085 Ag
0.0000 0.8172 0.4843 Bi
0.5000 0.1828 0.9843 Bi
0.0000 0.1759 0.3530 S
0.0000 0.8627 0.8917 S
0.2108 0.3322 0.8932 S
0.2892 0.6679 0.3932 S
0.5000 0.1373 0.3917 S
0.5000 0.8241 0.8530 S
0.7108 0.6679 0.3932 S
0.7892 0.3322 0.8932 S
```